No. 1
Starting from a crystal structure in Alexandria, relaxed with PBE, the powder X-ray diffraction pattern of Tb3Sm2Y8 was simulated for CuKα.
Kinematic intensities with the Lorentz-polarization factor, no thermal factor.

Most intense lines, 2θ = 15–90°, sorted by position:
| two_theta | d [Å] | I (rel.) |
| --- | --- | --- |
| 29.87 | 2.991 | 68.9 |
| 31.13 | 2.873 | 42.2 |
| 31.38 | 2.851 | 70.3 |
| 31.62 | 2.829 | 100.0 |
| 33.08 | 2.708 | 31.0 |
| 34.49 | 2.600 | 68.3 |
| 36.42 | 2.467 | 33.2 |
| 61.79 | 1.501 | 22.6 |

Structure:
```
data_Tb3Sm2Y8
_chemical_formula_sum 'Tb6 Sm4 Y16'
_space_group_name_H-M_alt 'P b a m'
_space_group_IT_number 55
_cell_length_a 11.7739
_cell_length_b 20.7387
_cell_length_c 3.5227
_cell_angle_alpha 90.00
_cell_angle_beta 90.00
_cell_angle_gamma 90.00
loop_
_space_group_symop_operation_xyz
'x,y,z'
'-x,-y,-z'
'-x,-y,z'
'x,y,-z'
'x+1/2,-y+1/2,-z'
'-x+1/2,y+1/2,z'
'-x+1/2,y+1/2,-z'
'x+1/2,-y+1/2,z'
loop_
_atom_site_label
_atom_site_fract_x
_atom_site_fract_y
_atom_site_fract_z
Tb1 0.0000 0.0000 0.0000
Tb2 0.1456 0.2992 0.0000
Sm1 0.1792 0.9017 0.5000
Y1 0.0451 0.4283 0.5000
Y2 0.0545 0.1584 0.0000
Y3 0.1290 0.7138 0.5000
Y4 0.2084 0.5522 0.0000
```

No. 2
Starting from a crystal structure in Alexandria, relaxed with PBE, the powder X-ray diffraction pattern of Ho3Er5Th was simulated for CuKα.
Kinematic intensities with the Lorentz-polarization factor, no thermal factor.

Most intense lines, 2θ = 15–90°, sorted by position:
| two_theta | d [Å] | I (rel.) |
| --- | --- | --- |
| 22.62 | 3.930 | 26.6 |
| 26.68 | 3.341 | 25.4 |
| 29.43 | 3.035 | 16.9 |
| 30.71 | 2.911 | 29.0 |
| 31.57 | 2.834 | 100.0 |
| 31.84 | 2.810 | 43.5 |
| 32.93 | 2.720 | 57.3 |
| 35.53 | 2.527 | 26.6 |

Structure:
```
data_Ho3Er5Th
_chemical_formula_sum 'Ho12 Er20 Th4'
_space_group_name_H-M_alt 'C 1 2/m 1'
_space_group_IT_number 12
_cell_length_a 16.8776
_cell_length_b 7.8605
_cell_length_c 12.1846
_cell_angle_alpha 90.00
_cell_angle_beta 131.24
_cell_angle_gamma 90.00
loop_
_space_group_symop_operation_xyz
'x,y,z'
'-x,-y,-z'
'-x,y,-z'
'x,-y,z'
'x+1/2,y+1/2,z'
'-x+1/2,-y+1/2,-z'
'-x+1/2,y+1/2,-z'
'x+1/2,-y+1/2,z'
loop_
_atom_site_label
_atom_site_fract_x
_atom_site_fract_y
_atom_site_fract_z
Ho1 0.0000 0.0000 0.0000
Ho2 0.0000 0.5000 0.5000
Ho3 0.1208 0.0000 0.8173
Ho4 0.1682 0.5000 0.8394
Er1 0.0000 0.1786 0.5000
Er2 0.0690 0.2914 0.2882
Er3 0.1216 0.5000 0.0643
Er4 0.2028 0.0000 0.5748
Th1 0.2374 0.5000 0.6350
```

No. 3
Starting from a crystal structure in Alexandria, relaxed with PBE, the powder X-ray diffraction pattern of Ac5Cd2Ge4 was simulated for CuKα.
Kinematic intensities with the Lorentz-polarization factor, no thermal factor.

Most intense lines, 2θ = 15–90°, sorted by position:
| two_theta | d [Å] | I (rel.) |
| --- | --- | --- |
| 23.56 | 3.776 | 100.0 |
| 26.62 | 3.349 | 39.8 |
| 30.10 | 2.969 | 61.0 |
| 30.66 | 2.916 | 84.1 |
| 32.08 | 2.790 | 23.4 |
| 36.97 | 2.432 | 27.5 |
| 39.38 | 2.288 | 38.9 |
| 46.40 | 1.957 | 23.7 |

Structure:
```
data_Ac5Cd2Ge4
_chemical_formula_sum 'Ac10 Cd4 Ge8'
_space_group_name_H-M_alt 'C 1 2/m 1'
_space_group_IT_number 12
_cell_length_a 20.9927
_cell_length_b 4.5767
_cell_length_c 7.8643
_cell_angle_alpha 90.00
_cell_angle_beta 106.85
_cell_angle_gamma 90.00
loop_
_space_group_symop_operation_xyz
'x,y,z'
'-x,-y,-z'
'-x,y,-z'
'x,-y,z'
'x+1/2,y+1/2,z'
'-x+1/2,-y+1/2,-z'
'-x+1/2,y+1/2,-z'
'x+1/2,-y+1/2,z'
loop_
_atom_site_label
_atom_site_fract_x
_atom_site_fract_y
_atom_site_fract_z
Ac1 0.0000 0.0000 0.0000
Ac2 0.1585 0.5000 0.4251
Ac3 0.1638 0.5000 0.9364
Cd1 0.0691 0.0000 0.6186
Ge1 0.0060 0.5000 0.7061
Ge2 0.2108 0.0000 0.7134
```

No. 4
Starting from a crystal structure in Alexandria, relaxed with PBE, the powder X-ray diffraction pattern of TaNb12Al3 was simulated for CuKα.
Kinematic intensities with the Lorentz-polarization factor, no thermal factor.

Most intense lines, 2θ = 15–90°, sorted by position:
| two_theta | d [Å] | I (rel.) |
| --- | --- | --- |
| 34.41 | 2.606 | 23.2 |
| 38.32 | 2.349 | 50.1 |
| 38.58 | 2.333 | 100.0 |
| 42.19 | 2.142 | 26.9 |
| 42.41 | 2.131 | 50.6 |
| 61.42 | 1.510 | 15.6 |
| 66.73 | 1.402 | 12.9 |
| 67.15 | 1.394 | 13.5 |

Structure:
```
data_TaNb12Al3
_chemical_formula_sum 'Ta1 Nb12 Al3'
_space_group_name_H-M_alt 'P m m m'
_space_group_IT_number 47
_cell_length_a 5.2142
_cell_length_b 5.2633
_cell_length_c 10.4220
_cell_angle_alpha 90.00
_cell_angle_beta 90.00
_cell_angle_gamma 90.00
loop_
_space_group_symop_operation_xyz
'x,y,z'
'-x,-y,-z'
'-x,-y,z'
'x,y,-z'
'x,-y,-z'
'-x,y,z'
'-x,y,-z'
'x,-y,z'
loop_
_atom_site_label
_atom_site_fract_x
_atom_site_fract_y
_atom_site_fract_z
Ta1 0.0000 0.0000 0.0000
Nb1 0.0000 0.2480 0.2524
Nb2 0.2441 0.5000 0.5000
Nb3 0.2492 0.5000 0.0000
Nb4 0.5000 0.0000 0.1269
Nb5 0.5000 0.0000 0.3761
Al1 0.0000 0.0000 0.5000
Al2 0.5000 0.5000 0.2511
```